Simulated powder XRD pattern
Compound: K2CaSiB
Radiation: CuKα
Structure: DFT lattice parameters and positions (PBE)
Kinematic intensities with the Lorentz-polarization factor, no thermal factor.

Main lines, in order of rising 2θ (15° ≤ 2θ ≤ 90°):
2theta  Rel. int.
27.81  100
31.42  44
33.76  18
45.04  15
46.79  26
53.76  27
56.82  11
57.45  13

Crystal structure
Unit cell a=5.693 b=5.693 c=5.310 alpha=90.00 beta=90.00 gamma=90.00
Fractional coordinates of all 5 atoms:
K: 0.000 0.500 0.000
K: 0.500 0.000 0.000
Ca: 0.000 0.000 0.500
Si: 0.500 0.500 0.500
B: 0.000 0.000 0.000